Record 1
Simulated X-ray powder pattern
Compound: Ho4TmIn3
Radiation: Cu Kα, 1.54184 Å
Structure: DFT lattice parameters and positions (PBE)
Lines closer than 0.1° are merged.

Peak list (10 most intense, 2θ = 15–90°, by angle)
- hkl 1 0 7, d = 2.957 Å, intensity 11
- hkl 0 1 8, d = 2.722 Å, intensity 90
- hkl 1 1 0, d = 2.664 Å, intensity 100
- hkl 2 0 8, d = 1.904 Å, intensity 32
- hkl 1 0 16, d = 1.583 Å, intensity 10
- hkl 1 2 8, d = 1.549 Å, intensity 32
- hkl 3 0 0, d = 1.538 Å, intensity 19
- hkl 1 1 15, d = 1.490 Å, intensity 9
- hkl 2 2 0, d = 1.332 Å, intensity 11
- hkl 3 1 8, d = 1.196 Å, intensity 14

Cell and atoms:
```
data_Ho4TmIn3
_symmetry_space_group_name_H-M 'R -3 m'
_symmetry_Int_Tables_number 166
_symmetry_space_group_name_Hall '-R 3 2"'
_cell_length_a 5.3272
_cell_length_b 5.3272
_cell_length_c 26.9650
_cell_angle_alpha 90.00
_cell_angle_beta 90.00
_cell_angle_gamma 120.00
loop_
_atom_site_label
_atom_site_type_symbol
_atom_site_fract_x
_atom_site_fract_y
_atom_site_fract_z
Ho1 Ho 0.0000 0.0000 0.1151
Ho2 Ho 0.0000 0.0000 0.3707
Tm1 Tm 0.0000 0.0000 0.5000
In1 In 0.0000 0.0000 0.0000
In2 In 0.0000 0.0000 0.2372
```

=====

Record 2
Simulated X-ray powder pattern
Compound: Ho2Tm3In3
Radiation: Cu Kα, 1.54184 Å
Structure: DFT lattice parameters and positions (PBE)
Lines closer than 0.1° are merged.

Peak list (10 most intense, 2θ = 15–90°, by angle)
- hkl 1 1 4, d = 2.738 Å, intensity 100
- hkl 0 0 8, d = 2.509 Å, intensity 18
- hkl 0 2 0, d = 2.418 Å, intensity 18
- hkl 2 0 0, d = 2.216 Å, intensity 14
- hkl 0 2 8, d = 1.741 Å, intensity 12
- hkl 2 2 0, d = 1.634 Å, intensity 11
- hkl 1 1 12, d = 1.489 Å, intensity 13
- hkl 1 3 4, d = 1.450 Å, intensity 14
- hkl 2 2 8, d = 1.369 Å, intensity 11
- hkl 3 1 4, d = 1.360 Å, intensity 11

Cell and atoms:
```
data_Ho2Tm3In3
_symmetry_space_group_name_H-M 'I m m m'
_symmetry_Int_Tables_number 71
_symmetry_space_group_name_Hall '-I 2 2'
_cell_length_a 4.433
_cell_length_b 4.835
_cell_length_c 20.076
_cell_angle_alpha 90.00
_cell_angle_beta 90.00
_cell_angle_gamma 90.00
loop_
_atom_site_label
_atom_site_type_symbol
_atom_site_fract_x
_atom_site_fract_y
_atom_site_fract_z
Ho1 Ho 0.000 0.000 0.240
Tm1 Tm 0.000 0.000 0.000
Tm2 Tm 0.000 0.500 0.119
In1 In 0.000 0.000 0.500
In2 In 0.000 0.500 0.375
```

=====

Record 3
Simulated X-ray powder pattern
Compound: Ho9Tm4In11
Radiation: Cu Kα, 1.54184 Å
Structure: DFT lattice parameters and positions (PBE)
Lines closer than 0.1° are merged.

Peak list (10 most intense, 2θ = 15–90°, by angle)
- hkl 3 7 0, d = 2.800 Å, intensity 14
- hkl 4 6 0, d = 2.759 Å, intensity 44
- hkl 1 5 1, d = 2.741 Å, intensity 40
- hkl 4 0 1, d = 2.610 Å, intensity 100
- hkl 0 6 1, d = 2.585 Å, intensity 49
- hkl 5 1 1, d = 2.327 Å, intensity 23
- hkl 0 0 2, d = 1.741 Å, intensity 16
- hkl 5 11 1, d = 1.564 Å, intensity 28
- hkl 9 5 1, d = 1.484 Å, intensity 27
- hkl 5 5 2, d = 1.448 Å, intensity 16

Cell and atoms:
```
data_Ho9Tm4In11
_symmetry_space_group_name_H-M 'C m m m'
_symmetry_Int_Tables_number 65
_symmetry_space_group_name_Hall '-C 2 2'
_cell_length_a 15.788
_cell_length_b 23.143
_cell_length_c 3.482
_cell_angle_alpha 90.00
_cell_angle_beta 90.00
_cell_angle_gamma 90.00
loop_
_atom_site_label
_atom_site_type_symbol
_atom_site_fract_x
_atom_site_fract_y
_atom_site_fract_z
Ho1 Ho 0.000 0.000 0.000
Ho2 Ho 0.109 0.405 0.000
Ho3 Ho 0.111 0.224 0.000
Tm1 Tm 0.171 0.082 0.000
In1 In 0.000 0.121 0.500
In2 In 0.000 0.313 0.500
In3 In 0.000 0.500 0.500
In4 In 0.209 0.500 0.500
In5 In 0.227 0.317 0.500
```

=====

Record 4
Simulated X-ray powder pattern
Compound: Ho12Tm2In
Radiation: Cu Kα, 1.54184 Å
Structure: DFT lattice parameters and positions (PBE)
Lines closer than 0.1° are merged.

Peak list (10 most intense, 2θ = 15–90°, by angle)
- hkl 1 1 -1, d = 2.939 Å, intensity 53
- hkl 0 1 7, d = 2.918 Å, intensity 53
- hkl 1 1 -2, d = 2.880 Å, intensity 19
- hkl 1 0 -6, d = 2.686 Å, intensity 13
- hkl 0 2 0, d = 2.669 Å, intensity 100
- hkl 1 1 4, d = 2.656 Å, intensity 18
- hkl 0 1 8, d = 2.648 Å, intensity 31
- hkl 1 2 6, d = 1.887 Å, intensity 17
- hkl 2 0 0, d = 1.778 Å, intensity 14
- hkl 2 2 0, d = 1.480 Å, intensity 16

Cell and atoms:
```
data_Ho12Tm2In
_symmetry_space_group_name_H-M 'P 1 2/m 1'
_symmetry_Int_Tables_number 10
_cell_length_a 3.555
_cell_length_b 5.341
_cell_length_c 24.391
_cell_angle_alpha 90.00
_cell_angle_beta 90.41
_cell_angle_gamma 90.00
loop_
_symmetry_equiv_pos_as_xyz
'x,y,z'
'-x,-y,-z'
'-x,y,-z'
'x,-y,z'
loop_
_atom_site_label
_atom_site_type_symbol
_atom_site_fract_x
_atom_site_fract_y
_atom_site_fract_z
Ho1 Ho 0.206 0.000 0.063
Ho2 Ho 0.239 0.000 0.200
Ho3 Ho 0.239 0.000 0.332
Ho4 Ho 0.243 0.500 0.424
Ho5 Ho 0.256 0.000 0.555
Ho6 Ho 0.274 0.500 0.870
Tm1 Tm 0.264 0.500 0.722
In1 In 0.500 0.500 0.000
```

=====

Record 5
Simulated X-ray powder pattern
Compound: Ho2Tm2In3
Radiation: Cu Kα, 1.54184 Å
Structure: DFT lattice parameters and positions (PBE)
Lines closer than 0.1° are merged.

Peak list (10 most intense, 2θ = 15–90°, by angle)
- hkl 7 1 0, d = 2.728 Å, intensity 100
- hkl 1 1 -1, d = 2.484 Å, intensity 39
- hkl 14 0 0, d = 2.165 Å, intensity 12
- hkl 0 2 0, d = 1.757 Å, intensity 14
- hkl 13 1 1, d = 1.632 Å, intensity 20
- hkl 6 2 1, d = 1.477 Å, intensity 30
- hkl 12 0 2, d = 1.364 Å, intensity 8
- hkl 20 0 1, d = 1.335 Å, intensity 9
- hkl 4 0 3, d = 1.131 Å, intensity 7
- hkl 3 1 -3, d = 1.111 Å, intensity 6

Cell and atoms:
```
data_Ho2Tm2In3
_symmetry_space_group_name_H-M 'C 1 2/m 1'
_symmetry_Int_Tables_number 12
_cell_length_a 30.512
_cell_length_b 3.514
_cell_length_c 3.513
_cell_angle_alpha 90.00
_cell_angle_beta 96.56
_cell_angle_gamma 90.00
loop_
_symmetry_equiv_pos_as_xyz
'x,y,z'
'-x,-y,-z'
'-x,y,-z'
'x,-y,z'
'x+1/2,y+1/2,z'
'-x+1/2,-y+1/2,-z'
'-x+1/2,y+1/2,-z'
'x+1/2,-y+1/2,z'
loop_
_atom_site_label
_atom_site_type_symbol
_atom_site_fract_x
_atom_site_fract_y
_atom_site_fract_z
Ho1 Ho 0.070 0.000 0.070
Tm1 Tm 0.209 0.000 0.210
In1 In 0.000 0.500 0.500
In2 In 0.140 0.500 0.641
```

=====

Record 6
Simulated X-ray powder pattern
Compound: Ho3TmIn4
Radiation: Cu Kα, 1.54184 Å
Structure: DFT lattice parameters and positions (PBE)
Lines closer than 0.1° are merged.

Peak list (9 most intense, 2θ = 15–90°, by angle)
- hkl 0 0 4, d = 3.740 Å, intensity 3
- hkl 1 1 0, d = 2.644 Å, intensity 100
- hkl 1 1 4, d = 2.159 Å, intensity 1
- hkl 2 0 0, d = 1.870 Å, intensity 18
- hkl 1 0 8, d = 1.672 Å, intensity 2
- hkl 2 1 4, d = 1.527 Å, intensity 37
- hkl 2 2 0, d = 1.322 Å, intensity 11
- hkl 0 0 12, d = 1.247 Å, intensity 1
- hkl 3 1 0, d = 1.183 Å, intensity 16

Cell and atoms:
```
data_Ho3TmIn4
_symmetry_space_group_name_H-M 'P 4/m m m'
_symmetry_Int_Tables_number 123
_symmetry_space_group_name_Hall '-P 4 2'
_cell_length_a 3.740
_cell_length_b 3.740
_cell_length_c 14.959
_cell_angle_alpha 90.00
_cell_angle_beta 90.00
_cell_angle_gamma 90.00
loop_
_atom_site_label
_atom_site_type_symbol
_atom_site_fract_x
_atom_site_fract_y
_atom_site_fract_z
Ho1 Ho 0.000 0.000 0.000
Ho2 Ho 0.000 0.000 0.251
Tm1 Tm 0.000 0.000 0.500
In1 In 0.500 0.500 0.126
In2 In 0.500 0.500 0.377
```

=====

Record 7
Simulated X-ray powder pattern
Compound: Y3Ho5In
Radiation: Cu Kα, 1.54184 Å
Structure: DFT lattice parameters and positions (PBE)
Lines closer than 0.1° are merged.

Peak list (10 most intense, 2θ = 15–90°, by angle)
- hkl 2 1 1, d = 3.963 Å, intensity 16
- hkl 2 2 0, d = 3.279 Å, intensity 59
- hkl 2 1 3, d = 3.046 Å, intensity 73
- hkl 3 1 0, d = 2.932 Å, intensity 28
- hkl 2 0 4, d = 2.724 Å, intensity 100
- hkl 3 1 2, d = 2.688 Å, intensity 15
- hkl 3 2 1, d = 2.526 Å, intensity 17
- hkl 2 1 5, d = 2.258 Å, intensity 15
- hkl 4 1 1, d = 2.218 Å, intensity 28
- hkl 4 1 3, d = 2.011 Å, intensity 24

Cell and atoms:
```
data_Y3Ho5In
_symmetry_space_group_name_H-M 'I 4/m c m'
_symmetry_Int_Tables_number 140
_symmetry_space_group_name_Hall '-I 4 2c'
_cell_length_a 9.273
_cell_length_b 9.273
_cell_length_c 13.464
_cell_angle_alpha 90.00
_cell_angle_beta 90.00
_cell_angle_gamma 90.00
loop_
_atom_site_label
_atom_site_type_symbol
_atom_site_fract_x
_atom_site_fract_y
_atom_site_fract_z
Y1 Y 0.000 0.000 0.250
Y2 Y 0.114 0.386 0.000
Ho1 Ho 0.000 0.000 0.000
Ho2 Ho 0.192 0.308 0.366
In1 In 0.000 0.500 0.250
```

=====

Record 8
Simulated X-ray powder pattern
Compound: Y2Ho4In
Radiation: Cu Kα, 1.54184 Å
Structure: DFT lattice parameters and positions (PBE)
Lines closer than 0.1° are merged.

Peak list (10 most intense, 2θ = 15–90°, by angle)
- hkl 0 2 2, d = 2.891 Å, intensity 49
- hkl 1 2 -1, d = 2.860 Å, intensity 82
- hkl 1 0 3, d = 2.829 Å, intensity 100
- hkl 2 0 -1, d = 2.808 Å, intensity 85
- hkl 1 0 -4, d = 2.789 Å, intensity 88
- hkl 1 2 1, d = 2.702 Å, intensity 52
- hkl 1 2 -2, d = 2.687 Å, intensity 47
- hkl 0 2 3, d = 2.513 Å, intensity 37
- hkl 0 2 4, d = 2.167 Å, intensity 34
- hkl 0 2 5, d = 1.882 Å, intensity 33

Cell and atoms:
```
data_Y2Ho4In
_symmetry_space_group_name_H-M 'P 1 21/m 1'
_symmetry_Int_Tables_number 11
_cell_length_a 5.617
_cell_length_b 6.719
_cell_length_c 11.653
_cell_angle_alpha 90.00
_cell_angle_beta 103.02
_cell_angle_gamma 90.00
loop_
_symmetry_equiv_pos_as_xyz
'x,y,z'
'-x,-y,-z'
'-x,y+1/2,-z'
'x,-y+1/2,z'
loop_
_atom_site_label
_atom_site_type_symbol
_atom_site_fract_x
_atom_site_fract_y
_atom_site_fract_z
Y1 Y 0.049 0.250 0.479
Y2 Y 0.288 0.750 0.063
Ho1 Ho 0.162 0.008 0.792
Ho2 Ho 0.277 0.250 0.086
Ho3 Ho 0.387 0.750 0.359
In1 In 0.487 0.250 0.355
```

=====

Record 9
Simulated X-ray powder pattern
Compound: Y6HoIn
Radiation: Cu Kα, 1.54184 Å
Structure: DFT lattice parameters and positions (PBE)
Lines closer than 0.1° are merged.

Peak list (10 most intense, 2θ = 15–90°, by angle)
- hkl 1 1 2, d = 2.862 Å, intensity 100
- hkl 0 0 4, d = 2.519 Å, intensity 17
- hkl 2 0 0, d = 2.460 Å, intensity 33
- hkl 2 0 4, d = 1.760 Å, intensity 23
- hkl 2 2 0, d = 1.739 Å, intensity 11
- hkl 1 1 6, d = 1.512 Å, intensity 14
- hkl 3 1 2, d = 1.486 Å, intensity 26
- hkl 2 2 4, d = 1.431 Å, intensity 11
- hkl 3 1 6, d = 1.141 Å, intensity 11
- hkl 3 3 2, d = 1.130 Å, intensity 5

Cell and atoms:
```
data_Y6HoIn
_symmetry_space_group_name_H-M 'P 4/m m m'
_symmetry_Int_Tables_number 123
_symmetry_space_group_name_Hall '-P 4 2'
_cell_length_a 4.919
_cell_length_b 4.919
_cell_length_c 10.075
_cell_angle_alpha 90.00
_cell_angle_beta 90.00
_cell_angle_gamma 90.00
loop_
_atom_site_label
_atom_site_type_symbol
_atom_site_fract_x
_atom_site_fract_y
_atom_site_fract_z
Y1 Y 0.000 0.000 0.000
Y2 Y 0.000 0.000 0.500
Y3 Y 0.000 0.500 0.244
Ho1 Ho 0.500 0.500 0.500
In1 In 0.500 0.500 0.000
```

=====

Record 10
Simulated X-ray powder pattern
Compound: Y15Ho4In
Radiation: Cu Kα, 1.54184 Å
Structure: DFT lattice parameters and positions (PBE)
Lines closer than 0.1° are merged.

Peak list (10 most intense, 2θ = 15–90°, by angle)
- hkl 1 1 5, d = 2.891 Å, intensity 100
- hkl 0 0 10, d = 2.526 Å, intensity 17
- hkl 2 0 0, d = 2.492 Å, intensity 33
- hkl 2 0 10, d = 1.774 Å, intensity 23
- hkl 2 2 0, d = 1.762 Å, intensity 11
- hkl 1 1 15, d = 1.520 Å, intensity 13
- hkl 3 1 5, d = 1.505 Å, intensity 27
- hkl 2 2 10, d = 1.445 Å, intensity 12
- hkl 3 1 15, d = 1.151 Å, intensity 11
- hkl 3 3 5, d = 1.144 Å, intensity 5

Cell and atoms:
```
data_Y15Ho4In
_symmetry_space_group_name_H-M 'P 4/m m m'
_symmetry_Int_Tables_number 123
_symmetry_space_group_name_Hall '-P 4 2'
_cell_length_a 4.984
_cell_length_b 4.984
_cell_length_c 25.265
_cell_angle_alpha 90.00
_cell_angle_beta 90.00
_cell_angle_gamma 90.00
loop_
_atom_site_label
_atom_site_type_symbol
_atom_site_fract_x
_atom_site_fract_y
_atom_site_fract_z
Y1 Y 0.000 0.000 0.000
Y2 Y 0.000 0.000 0.195
Y3 Y 0.000 0.000 0.399
Y4 Y 0.000 0.500 0.096
Y5 Y 0.000 0.500 0.298
Y6 Y 0.000 0.500 0.500
Ho1 Ho 0.500 0.500 0.198
Ho2 Ho 0.500 0.500 0.399
In1 In 0.500 0.500 0.000
```

=====

Record 11
Simulated X-ray powder pattern
Compound: Y2Ho3In
Radiation: Cu Kα, 1.54184 Å
Structure: DFT lattice parameters and positions (PBE)
Lines closer than 0.1° are merged.

Peak list (10 most intense, 2θ = 15–90°, by angle)
- hkl 1 3 1, d = 2.836 Å, intensity 100
- hkl 0 6 0, d = 2.507 Å, intensity 18
- hkl 0 0 2, d = 2.439 Å, intensity 16
- hkl 2 0 0, d = 2.424 Å, intensity 16
- hkl 0 6 2, d = 1.748 Å, intensity 12
- hkl 2 6 0, d = 1.743 Å, intensity 12
- hkl 1 9 1, d = 1.503 Å, intensity 14
- hkl 1 3 3, d = 1.474 Å, intensity 14
- hkl 3 3 1, d = 1.467 Å, intensity 13
- hkl 2 6 2, d = 1.418 Å, intensity 12

Cell and atoms:
```
data_Y2Ho3In
_symmetry_space_group_name_H-M 'C m m m'
_symmetry_Int_Tables_number 65
_symmetry_space_group_name_Hall '-C 2 2'
_cell_length_a 4.848
_cell_length_b 15.041
_cell_length_c 4.879
_cell_angle_alpha 90.00
_cell_angle_beta 90.00
_cell_angle_gamma 90.00
loop_
_atom_site_label
_atom_site_type_symbol
_atom_site_fract_x
_atom_site_fract_y
_atom_site_fract_z
Y1 Y 0.000 0.161 0.000
Ho1 Ho 0.000 0.000 0.500
Ho2 Ho 0.000 0.332 0.500
In1 In 0.000 0.500 0.000
```

=====

Record 12
Simulated X-ray powder pattern
Compound: YHo5In
Radiation: Cu Kα, 1.54184 Å
Structure: DFT lattice parameters and positions (PBE)
Lines closer than 0.1° are merged.

Peak list (10 most intense, 2θ = 15–90°, by angle)
- hkl 0 2 0, d = 5.733 Å, intensity 43
- hkl 1 0 1, d = 4.852 Å, intensity 56
- hkl 2 0 0, d = 3.958 Å, intensity 29
- hkl 1 2 1, d = 3.704 Å, intensity 40
- hkl 2 1 1, d = 3.195 Å, intensity 38
- hkl 0 4 0, d = 2.866 Å, intensity 59
- hkl 1 1 2, d = 2.778 Å, intensity 49
- hkl 1 3 2, d = 2.291 Å, intensity 30
- hkl 3 2 1, d = 2.233 Å, intensity 100
- hkl 3 6 1, d = 1.501 Å, intensity 29

Cell and atoms:
```
data_YHo5In
_symmetry_space_group_name_H-M 'I m m 2'
_symmetry_Int_Tables_number 44
_cell_length_a 7.915
_cell_length_b 11.466
_cell_length_c 6.142
_cell_angle_alpha 90.00
_cell_angle_beta 90.00
_cell_angle_gamma 90.00
loop_
_symmetry_equiv_pos_as_xyz
'x,y,z'
'-x,-y,z'
'-x,y,z'
'x,-y,z'
'x+1/2,y+1/2,z+1/2'
'-x+1/2,-y+1/2,z+1/2'
'-x+1/2,y+1/2,z+1/2'
'x+1/2,-y+1/2,z+1/2'
loop_
_atom_site_label
_atom_site_type_symbol
_atom_site_fract_x
_atom_site_fract_y
_atom_site_fract_z
Y1 Y 0.000 0.000 0.000
Ho1 Ho 0.000 0.253 0.405
Ho2 Ho 0.000 0.500 0.710
Ho3 Ho 0.186 0.000 0.498
In1 In 0.000 0.500 0.236
```